For Na2Te2Pd3, a structure optimized by DFT (GGA-PBE) gives the simulated X-ray diffraction stick pattern in this record (λ = 1.5418 Å (Cu Kα)).
No peak broadening, texture or thermal motion is included.

Structure:
```
Na2Te2Pd3
1.0
5.5044 -2.2502 0.0000
5.5044 2.2502 0.0000
-2.5427 0.0000 6.5409
Na Te Pd
2 2 3
direct
0.1273 0.1273 0.2443 Na
0.8727 0.8727 0.7557 Na
0.1453 0.1453 0.7154 Te
0.8547 0.8547 0.2846 Te
0.3456 0.3456 0.0779 Pd
0.5000 0.5000 0.5000 Pd
0.6544 0.6544 0.9221 Pd
```

Most intense lines, 10° ≤ 2θ ≤ 80°, sorted by position:
2θ (°)  I_rel
17.7  100
31.7  22
35.0  9
35.8  10
36.3  19
37.5  53
39.3  19
40.1  24
42.2  8
44.1  41
47.4  9
65.9  8